# ErTmZn6
Simulated powder XRD pattern, CuKα. Input: the GGA-PBE geometry in OQMD.
No peak broadening, texture or thermal motion is included.

Top 6 peaks for 10 to 90 degrees two-theta, in order of falling intensity:
- 2θ = 38.88°, d = 2.316 Å, I = 100, hkl 2 0 0
- 2θ = 70.36°, d = 1.338 Å, I = 22, hkl 3 2 1
- 2θ = 23.52°, d = 3.782 Å, I = 15, hkl 1 1 0
- 2θ = 56.08°, d = 1.640 Å, I = 11, hkl 2 0 2
- 2θ = 70.50°, d = 1.336 Å, I = 11, hkl 2 4 0
- 2θ = 83.53°, d = 1.157 Å, I = 7, hkl 2 4 2

Structure:
```
8
Lattice="4.638 0.000 0.000 0.000 6.536 0.000 0.000 0.000 4.638" Properties=species:S:1:pos:R:3 pbc="T T T"
Er 0.000 0.000 0.000
Tm 2.319 3.268 2.277
Zn 0.000 1.637 2.322
Zn 0.000 3.268 4.636
Zn 0.000 4.899 2.322
Zn 2.319 0.000 2.281
Zn 2.319 1.637 4.594
Zn 2.319 4.898 4.594
```